Record 1
Structure and theoretical PXRD pattern of Cs3Na2SmBr8 (a crystal structure in Alexandria, relaxed with PBE; Cu Ka).
Neutral-atom scattering factors, no anomalous dispersion.

Principal peaks in the range 10° ≤ 2θ ≤ 80°, in order of rising 2θ:
20.79°, intensity 244
21.98°, intensity 953
24.78°, intensity 307
26.77°, intensity 1000
27.57°, intensity 593
27.91°, intensity 258
30.44°, intensity 991
35.80°, intensity 425
42.34°, intensity 712
44.82°, intensity 629

Structural model:
Unit cell a=8.0879 b=8.0879 c=10.7804 alpha=90.00 beta=90.00 gamma=120.00
Fractional positions:
Cs 0.0000 0.0000 0.0000
Cs 0.3333 0.6667 0.6232
Cs 0.6667 0.3333 0.3768
Na 0.3333 0.6667 0.1876
Na 0.6667 0.3333 0.8124
Sm 0.0000 0.0000 0.5000
Br 0.1633 0.3266 0.3416
Br 0.1633 0.8367 0.3416
Br 0.3266 0.1633 0.6584
Br 0.3333 0.6667 0.9389
Br 0.6667 0.3333 0.0611
Br 0.6734 0.8367 0.3416
Br 0.8367 0.1633 0.6584
Br 0.8367 0.6734 0.6584


Record 2
Structure and theoretical PXRD pattern of LiSeCl2 (a crystal structure in Alexandria, relaxed with PBE; Cu Ka).
Neutral-atom scattering factors, no anomalous dispersion.

Principal peaks in the range 10° ≤ 2θ ≤ 80°, in order of rising 2θ:
11.56°, intensity 280
28.77°, intensity 1000
29.57°, intensity 557
35.17°, intensity 224
39.79°, intensity 115
42.73°, intensity 291
49.20°, intensity 272
50.48°, intensity 266
52.69°, intensity 121
63.01°, intensity 218

Structural model:
Unit cell a=3.6157 b=3.6157 c=22.9662 alpha=90.00 beta=90.00 gamma=120.00
Fractional positions:
Li 0.0000 0.0000 0.0000
Li 0.3333 0.6667 0.6667
Li 0.6667 0.3333 0.3333
Se 0.0000 0.0000 0.5000
Se 0.3333 0.6667 0.1667
Se 0.6667 0.3333 0.8333
Cl 0.0000 0.0000 0.3943
Cl 0.0000 0.0000 0.6057
Cl 0.3333 0.6667 0.0610
Cl 0.3333 0.6667 0.2724
Cl 0.6667 0.3333 0.7276
Cl 0.6667 0.3333 0.9390


Record 3
Structure and theoretical PXRD pattern of CaCe2HgAu4 (a crystal structure in Alexandria, relaxed with PBE; Cu Ka).
Neutral-atom scattering factors, no anomalous dispersion.

Principal peaks in the range 10° ≤ 2θ ≤ 80°, in order of rising 2θ:
24.54°, intensity 98
31.98°, intensity 129
34.89°, intensity 910
35.08°, intensity 1000
50.31°, intensity 325
62.44°, intensity 121
62.81°, intensity 335
62.93°, intensity 186
66.46°, intensity 83
74.13°, intensity 116

Structural model:
Unit cell a=8.9244 b=8.9244 c=8.9244 alpha=33.32 beta=33.32 gamma=33.32
Fractional positions:
Ca 0.0000 0.0000 0.0000
Ce 0.2412 0.2412 0.2412
Ce 0.7588 0.7588 0.7588
Hg 0.5000 0.5000 0.5000
Au 0.1190 0.1190 0.1190
Au 0.3679 0.3679 0.3679
Au 0.6321 0.6321 0.6321
Au 0.8810 0.8810 0.8810


Record 4
Structure and theoretical PXRD pattern of MgAlOs2 (a crystal structure in Alexandria, relaxed with PBE; Cu Ka).
Neutral-atom scattering factors, no anomalous dispersion.

Principal peaks in the range 10° ≤ 2θ ≤ 80°, in order of rising 2θ:
13.95°, intensity 909
32.46°, intensity 569
40.94°, intensity 1000
41.71°, intensity 481
44.19°, intensity 219
52.56°, intensity 117
60.46°, intensity 162
70.32°, intensity 128
74.04°, intensity 170
75.62°, intensity 334

Structural model:
Unit cell a=3.0623 b=3.0623 c=6.3504 alpha=90.00 beta=90.00 gamma=90.00
Fractional positions:
Mg 0.0000 0.0000 0.0000
Al 0.5000 0.5000 0.7228
Os 0.0000 0.0000 0.5070
Os 0.5000 0.5000 0.2445


Record 5
Structure and theoretical PXRD pattern of Pm3TeSe2 (a crystal structure in Alexandria, relaxed with PBE; Cu Ka).
Neutral-atom scattering factors, no anomalous dispersion.

Principal peaks in the range 10° ≤ 2θ ≤ 80°, in order of rising 2θ:
29.42°, intensity 1000
29.53°, intensity 503
42.02°, intensity 563
42.19°, intensity 182
42.29°, intensity 348
52.15°, intensity 289
61.03°, intensity 110
69.05°, intensity 155
69.28°, intensity 160
76.88°, intensity 143

Structural model:
Unit cell a=7.4379 b=7.4379 c=7.4412 alpha=99.49 beta=99.49 gamma=120.45
Fractional positions:
Pm 0.0000 0.5000 0.0000
Pm 0.1301 0.3177 0.4933
Pm 0.3177 0.1301 0.9933
Pm 0.5000 0.0000 0.5000
Pm 0.6823 0.8699 0.0067
Pm 0.8699 0.6823 0.5067
Te 0.4252 0.5748 0.2500
Te 0.5748 0.4252 0.7500
Se 0.0827 0.9173 0.2500
Se 0.2592 0.7408 0.7500
Se 0.7408 0.2592 0.2500
Se 0.9173 0.0827 0.7500


Record 6
Structure and theoretical PXRD pattern of PmErIn2Se4 (a crystal structure in Alexandria, relaxed with PBE; Cu Ka).
Neutral-atom scattering factors, no anomalous dispersion.

Principal peaks in the range 10° ≤ 2θ ≤ 80°, in order of rising 2θ:
11.43°, intensity 99
25.74°, intensity 100
29.04°, intensity 1000
39.78°, intensity 376
43.22°, intensity 348
52.91°, intensity 183
60.18°, intensity 109
65.71°, intensity 136
70.62°, intensity 152
76.94°, intensity 106

Structural model:
Unit cell a=7.2523 b=4.1863 c=8.1084 alpha=90.00 beta=107.34 gamma=90.00
Fractional positions:
Pm 0.0000 0.0000 0.0000
Er 0.5000 0.5000 0.0000
In 0.0000 0.5000 0.5000
In 0.5000 0.0000 0.5000
Se 0.2454 0.5000 0.2121
Se 0.2719 0.0000 0.7919
Se 0.7281 0.0000 0.2081
Se 0.7546 0.5000 0.7879


Record 7
Structure and theoretical PXRD pattern of Nd5CoSe4 (a crystal structure in Alexandria, relaxed with PBE; Cu Ka).
Neutral-atom scattering factors, no anomalous dispersion.

Principal peaks in the range 10° ≤ 2θ ≤ 80°, in order of rising 2θ:
25.87°, intensity 277
29.72°, intensity 538
30.08°, intensity 1000
42.79°, intensity 758
43.06°, intensity 348
53.19°, intensity 372
70.17°, intensity 172
70.74°, intensity 139
78.19°, intensity 136
78.75°, intensity 195

Structural model:
Unit cell a=7.2918 b=7.2918 c=7.2918 alpha=99.79 beta=99.79 gamma=131.31
Fractional positions:
Nd 0.0000 0.0000 0.0000
Nd 0.2224 0.5943 0.8167
Nd 0.4057 0.2224 0.6281
Nd 0.5943 0.7776 0.3719
Nd 0.7776 0.4057 0.1833
Co 0.5000 0.5000 0.0000
Se 0.0920 0.3054 0.3974
Se 0.3054 0.9080 0.2134
Se 0.6946 0.0920 0.7866
Se 0.9080 0.6946 0.6026


Record 8
Structure and theoretical PXRD pattern of LaTiSO2 (a crystal structure in Alexandria, relaxed with PBE; Cu Ka).
Neutral-atom scattering factors, no anomalous dispersion.

Principal peaks in the range 10° ≤ 2θ ≤ 80°, in order of rising 2θ:
16.68°, intensity 592
27.89°, intensity 1000
31.59°, intensity 534
35.93°, intensity 373
40.75°, intensity 617
45.28°, intensity 348
46.89°, intensity 156
48.58°, intensity 148
54.03°, intensity 313
62.54°, intensity 333

Structural model:
Unit cell a=4.0052 b=4.0052 c=5.3138 alpha=90.00 beta=90.00 gamma=90.00
Fractional positions:
La 0.0000 0.0000 0.0000
Ti 0.5000 0.5000 0.3287
S 0.5000 0.5000 0.7905
O 0.0000 0.5000 0.2728
O 0.5000 0.0000 0.2728


Record 9
Structure and theoretical PXRD pattern of Ac4TePS2 (a crystal structure in Alexandria, relaxed with PBE; Cu Ka).
Neutral-atom scattering factors, no anomalous dispersion.

Principal peaks in the range 10° ≤ 2θ ≤ 80°, in order of rising 2θ:
24.06°, intensity 160
24.61°, intensity 496
28.33°, intensity 1000
40.14°, intensity 362
40.85°, intensity 382
47.96°, intensity 161
50.45°, intensity 202
65.85°, intensity 146
66.85°, intensity 172
73.89°, intensity 119

Structural model:
Unit cell a=7.6510 b=4.4199 c=7.8287 alpha=90.00 beta=109.08 gamma=90.00
Fractional positions:
Ac 0.2314 0.0000 0.2234
Ac 0.2460 0.5000 0.7670
Ac 0.7540 0.5000 0.2330
Ac 0.7686 0.0000 0.7766
Te 0.5000 0.5000 0.5000
P 0.5000 0.0000 0.0000
S 0.0000 0.0000 0.5000
S 0.0000 0.5000 0.0000


Record 10
Structure and theoretical PXRD pattern of Ca3SiO5 (a crystal structure in Alexandria, relaxed with PBE; Cu Ka).
Neutral-atom scattering factors, no anomalous dispersion.

Principal peaks in the range 10° ≤ 2θ ≤ 80°, in order of rising 2θ:
28.93°, intensity 742
31.64°, intensity 780
32.04°, intensity 1000
33.78°, intensity 758
40.59°, intensity 448
46.10°, intensity 248
50.87°, intensity 787
55.47°, intensity 355
58.85°, intensity 242
61.16°, intensity 393

Structural model:
Unit cell a=9.4410 b=9.4410 c=9.4410 alpha=44.70 beta=44.70 gamma=44.70
Fractional positions:
Ca 0.0005 0.4997 0.4997
Ca 0.2557 0.7068 0.7068
Ca 0.2941 0.2941 0.7451
Ca 0.2941 0.7451 0.2941
Ca 0.4997 0.0005 0.4997
Ca 0.4997 0.4997 0.0005
Ca 0.7068 0.2556 0.7068
Ca 0.7068 0.7068 0.2556
Ca 0.7451 0.2941 0.2941
Si 0.2155 0.2155 0.2155
Si 0.7804 0.7804 0.7804
Si 0.9945 0.9945 0.9945
O 0.0519 0.6753 0.6753
O 0.1418 0.1418 0.7662
O 0.1418 0.7662 0.1418
O 0.1497 0.1497 0.1497
O 0.3625 0.3625 0.9902
O 0.3625 0.9902 0.3625
O 0.3861 0.3861 0.3861
O 0.5016 0.5016 0.5016
O 0.6156 0.6156 0.6156
O 0.6753 0.0519 0.6753
O 0.6753 0.6753 0.0519
O 0.7160 0.7160 0.7160
O 0.7662 0.1418 0.1418
O 0.9289 0.9289 0.9289
O 0.9902 0.3625 0.3625


Record 11
Structure and theoretical PXRD pattern of Sm6YCd (a crystal structure in Alexandria, relaxed with PBE; Cu Ka).
Neutral-atom scattering factors, no anomalous dispersion.

Principal peaks in the range 10° ≤ 2θ ≤ 80°, in order of rising 2θ:
26.48°, intensity 172
28.05°, intensity 280
30.19°, intensity 1000
32.65°, intensity 567
32.79°, intensity 230
33.96°, intensity 738
49.32°, intensity 190
51.09°, intensity 197
58.18°, intensity 167
61.48°, intensity 158

Structural model:
Unit cell a=6.4158 b=6.4158 c=6.4158 alpha=94.99 beta=94.99 gamma=94.99
Fractional positions:
Sm 0.0447 0.7599 0.5483
Sm 0.2401 0.4517 0.9553
Sm 0.4517 0.9553 0.2401
Sm 0.5483 0.0447 0.7599
Sm 0.7599 0.5483 0.0447
Sm 0.9553 0.2401 0.4517
Y 0.5000 0.5000 0.5000
Cd 0.0000 0.0000 0.0000


Record 12
Structure and theoretical PXRD pattern of Ba2Na3Br3O2 (a crystal structure in Alexandria, relaxed with PBE; Cu Ka).
Neutral-atom scattering factors, no anomalous dispersion.

Principal peaks in the range 10° ≤ 2θ ≤ 80°, in order of rising 2θ:
15.18°, intensity 246
26.06°, intensity 244
26.24°, intensity 1000
29.45°, intensity 768
30.63°, intensity 472
34.19°, intensity 522
35.77°, intensity 714
46.56°, intensity 294
47.79°, intensity 534
61.10°, intensity 253

Structural model:
Unit cell a=12.2022 b=12.2022 c=12.2022 alpha=156.26 beta=156.26 gamma=33.83
Fractional positions:
Ba 0.2500 0.7500 0.5000
Ba 0.7500 0.2500 0.5000
Na 0.0000 0.0000 0.0000
Na 0.3804 0.3804 0.0000
Na 0.6196 0.6196 0.0000
Br 0.1246 0.1246 0.0000
Br 0.5000 0.5000 0.0000
Br 0.8754 0.8754 0.0000
O 0.2858 0.2858 0.0000
O 0.7142 0.7142 0.0000